The following is a simulated XRD peak list of La5Si3O13. It was derived from a cell relaxed with PBE, using Cu Kα (weighted mean of Kα1 and Kα2).
Peak positions follow from Bragg's law for the DFT cell and can differ from measured ones.

```
data_La5Si3O13
_cell_length_a 9.8225
_cell_length_b 9.8225
_cell_length_c 7.2969
_cell_angle_alpha 90.00
_cell_angle_beta 90.00
_cell_angle_gamma 120.00
_space_group_name_H-M_alt 'P 1'
_space_group_IT_number 1
loop_
_space_group_symop_operation_xyz
'x,y,z'
loop_
_atom_site_label
_atom_site_type_symbol
_atom_site_fract_x
_atom_site_fract_y
_atom_site_fract_z
La1 La 0.0117 0.2428 0.2500
La2 La 0.2311 0.9883 0.2500
La3 La 0.2428 0.2311 0.7500
La4 La 0.3333 0.6667 0.0048
La5 La 0.3333 0.6667 0.4952
La6 La 0.6667 0.3333 0.5048
La7 La 0.6667 0.3333 0.9952
La8 La 0.7572 0.7689 0.2500
La9 La 0.7689 0.0117 0.7500
La10 La 0.9883 0.7572 0.7500
Si1 Si 0.0301 0.4002 0.7500
Si2 Si 0.3701 0.9699 0.7500
Si3 Si 0.4002 0.3701 0.2500
Si4 Si 0.5998 0.6299 0.7500
Si5 Si 0.6299 0.0301 0.2500
Si6 Si 0.9699 0.5998 0.2500
O1 O 0.0000 0.0000 0.2500
O2 O 0.0000 0.0000 0.7500
O3 O 0.0907 0.3429 0.5692
O4 O 0.0907 0.3429 0.9308
O5 O 0.1241 0.5943 0.7500
O6 O 0.1621 0.6784 0.2500
O7 O 0.2522 0.9093 0.5692
O8 O 0.2522 0.9093 0.9308
O9 O 0.3216 0.4837 0.2500
O10 O 0.3429 0.2522 0.0692
O11 O 0.3429 0.2522 0.4308
O12 O 0.4057 0.5298 0.7500
O13 O 0.4702 0.8759 0.7500
O14 O 0.4837 0.1621 0.7500
O15 O 0.5163 0.8379 0.2500
O16 O 0.5298 0.1241 0.2500
O17 O 0.5943 0.4702 0.2500
O18 O 0.6571 0.7478 0.5692
O19 O 0.6571 0.7478 0.9308
O20 O 0.6784 0.5163 0.7500
O21 O 0.7478 0.0907 0.0692
O22 O 0.7478 0.0907 0.4308
O23 O 0.8379 0.3216 0.7500
O24 O 0.8759 0.4057 0.2500
O25 O 0.9093 0.6571 0.0692
O26 O 0.9093 0.6571 0.4308
```

Main lines, by angle (2θ from 15° to 90°):
two_theta	d (Å)	I (rel.)
20.89	4.253	320
26.58	3.353	439
27.75	3.215	403
30.38	2.942	1000
30.52	2.929	651
31.55	2.836	352
44.47	2.037	346
46.84	1.940	334
49.08	1.856	281
49.62	1.837	305